# 1
Diffraction record for CsYCuO3. The powder diffractogram is theoretical, not measured: it uses DFT lattice parameters and positions (GGA-PBE) and CuKα.
Lines closer than 0.1° are merged.

Cell and atoms:
Cell: 7.958 3.655 9.042 Å, 90.00 112.02 90.00°
Space group P2_1/m (No. 11)
Symmetry-distinct sites (fractional):
Cs 0.214 0.250 0.211 (multiplicity 2)
Y 0.331 0.750 0.863 (multiplicity 2)
Cu 0.049 0.250 0.626 (multiplicity 2)
O 0.121 0.750 0.597 (multiplicity 2)
O 0.142 0.250 0.857 (multiplicity 2)
O 0.481 0.750 0.127 (multiplicity 2)

Largest 10 diffraction maxima, in order of rising 2θ, 2θ from 10° to 90°:
index	2θ (°)	I/Imax
0 0 1	10.55	31
1 0 1	18.77	41
0 0 2	21.20	38
2 0 -2	25.49	91
0 1 1	26.61	44
1 1 -2	31.75	32
0 1 2	32.50	45
2 1 -1	33.32	100
2 1 0	34.55	42
4 1 -3	54.39	31



# 2
Diffraction record for Cs3CuP. The powder diffractogram is theoretical, not measured: it uses DFT lattice parameters and positions (GGA-PBE) and CuKα.
Lines closer than 0.1° are merged.

Cell and atoms:
Cell: 14.396 16.012 4.855 Å, 90.00 90.00 90.00°
Space group Cmc2_1 (No. 36)
Symmetry-distinct sites (fractional):
Cs 0.000 0.160 0.000 (multiplicity 4)
Cs 0.168 0.373 0.002 (multiplicity 8)
Cu 0.000 0.458 0.507 (multiplicity 4)
P 0.000 0.321 0.501 (multiplicity 4)

Largest 10 diffraction maxima, in order of rising 2θ, 2θ from 10° to 90°:
index	2θ (°)	I/Imax
3 1 0	19.31	26
1 1 1	20.08	38
0 4 0	22.21	32
2 2 1	24.76	100
3 3 0	24.95	55
3 3 1	31.10	23
4 2 1	32.94	42
1 5 1	34.11	31
0 0 2	37.03	20
3 3 2	45.18	22



# 3
Diffraction record for CsCuP2Se8. The powder diffractogram is theoretical, not measured: it uses DFT lattice parameters and positions (GGA-PBE) and CuKα.
Lines closer than 0.1° are merged.

Cell and atoms:
Cell: 5.7465 5.7465 37.8068 Å, 90.00 90.00 120.00°
Space group R-3 (No. 148, hexagonal axes)
Symmetry-distinct sites (fractional):
Cs 0.0000 0.0000 0.0000 (multiplicity 3)
Cu 0.0000 0.0000 0.5000 (multiplicity 3)
P 0.0000 0.0000 0.2355 (multiplicity 6)
Se 0.0000 0.0000 0.2923 (multiplicity 6)
Se 0.0206 0.6395 0.7885 (multiplicity 18)

Largest 10 diffraction maxima, in order of rising 2θ, 2θ from 10° to 90°:
index	2θ (°)	I/Imax
1 0 4	20.17	68
0 0 9	21.15	42
1 0 7	24.32	33
1 0 10	29.68	27
1 1 3	31.95	100
2 -1 6	34.30	83
0 2 4	37.37	37
2 -1 9	37.93	42
1 1 15	48.02	29
3 0 0	55.39	38



# 4
Diffraction record for CsCuSiP2. The powder diffractogram is theoretical, not measured: it uses DFT lattice parameters and positions (GGA-PBE) and CuKα.
Lines closer than 0.1° are merged.

Cell and atoms:
Cell: 12.763 3.850 9.983 Å, 90.00 98.00 90.00°
Space group C2/m (No. 12)
Symmetry-distinct sites (fractional):
Cs 0.149 0.000 0.155 (multiplicity 4)
Cu 0.193 0.000 0.553 (multiplicity 4)
Si 0.057 0.500 0.646 (multiplicity 4)
P 0.115 0.000 0.768 (multiplicity 4)
P 0.120 0.500 0.443 (multiplicity 4)

Largest 10 diffraction maxima, in order of rising 2θ, 2θ from 10° to 90°:
index	2θ (°)	I/Imax
2 0 2	24.36	72
1 1 -1	25.47	51
0 0 3	27.06	51
4 0 0	28.24	41
1 1 2	30.86	88
3 1 0	31.48	100
4 0 2	35.81	52
3 1 -3	39.90	47
0 2 0	47.22	34
5 1 2	48.80	51



# 5
Diffraction record for Cs2PaCuS4. The powder diffractogram is theoretical, not measured: it uses DFT lattice parameters and positions (GGA-PBE) and CuKα.
Lines closer than 0.1° are merged.

Cell and atoms:
Cell: 7.523 7.523 9.662 Å, 90.00 90.00 90.00°
Space group I-4 (No. 82)
Symmetry-distinct sites (fractional):
Cs 0.000 0.000 0.000 (multiplicity 2)
Cs 0.000 0.500 0.250 (multiplicity 2)
Pa 0.000 0.000 0.500 (multiplicity 2)
Cu 0.000 0.500 0.750 (multiplicity 2)
S 0.129 0.258 0.634 (multiplicity 8)

Largest 10 diffraction maxima, in order of rising 2θ, 2θ from 10° to 90°:
index	2θ (°)	I/Imax
1 0 1	14.93	16
2 0 0	23.65	41
1 1 2	24.90	100
2 2 0	33.70	23
3 1 2	42.35	47
2 0 4	44.58	25
2 2 4	51.08	13
4 2 0	54.55	14
3 3 2	55.18	11
1 5 2	66.24	13



# 6
Diffraction record for CsPa2Cu2Se6. The powder diffractogram is theoretical, not measured: it uses DFT lattice parameters and positions (GGA-PBE) and CuKα.
Lines closer than 0.1° are merged.

Cell and atoms:
Cell: 7.605 7.765 7.818 Å, 62.38 62.42 60.87°
Space group P-1 (No. 2)
Symmetry-distinct sites (fractional):
Cs 0.000 0.000 0.000 (multiplicity 1)
Pa 0.332 0.335 0.998 (multiplicity 2)
Cu 0.433 0.671 0.563 (multiplicity 2)
Se 0.084 0.663 0.750 (multiplicity 2)
Se 0.324 0.520 0.248 (multiplicity 2)
Se 0.499 0.075 0.753 (multiplicity 2)

Largest 10 diffraction maxima, in order of rising 2θ, 2θ from 10° to 90°:
index	2θ (°)	I/Imax
0 0 1	13.43	96
0 1 0	13.72	31
1 0 0	14.01	42
1 1 1	14.25	29
2 1 1	23.40	31
1 -1 1	26.57	74
2 1 0	26.76	59
1 2 2	27.02	100
2 1 -1	35.60	77
2 1 3	36.57	36



# 7
Diffraction record for CsPa4Cu3Se12. The powder diffractogram is theoretical, not measured: it uses DFT lattice parameters and positions (GGA-PBE) and CuKα.
Lines closer than 0.1° are merged.

Cell and atoms:
Cell: 10.284 10.284 10.284 Å, 90.00 90.00 90.00°
Space group Im-3 (No. 204)
Symmetry-distinct sites (fractional):
Cs 0.000 0.000 0.000 (multiplicity 2)
Pa 0.250 0.250 0.250 (multiplicity 8)
Cu 0.000 0.000 0.500 (multiplicity 6)
Se 0.000 0.171 0.322 (multiplicity 24)

Largest 10 diffraction maxima, in order of rising 2θ, 2θ from 10° to 90°:
index	2θ (°)	I/Imax
2 0 0	17.25	43
2 2 0	24.48	97
3 1 0	27.43	40
3 2 1	32.58	24
4 0 0	34.90	38
4 0 2	39.18	39
4 2 2	43.09	100
6 0 2	56.61	29
6 4 2	68.25	26
6 6 0	79.01	39



# 8
Diffraction record for Cs4Pa3CuSe8. The powder diffractogram is theoretical, not measured: it uses DFT lattice parameters and positions (GGA-PBE) and CuKα.
Lines closer than 0.1° are merged.

Cell and atoms:
Cell: 14.693 8.428 9.750 Å, 90.00 120.17 90.00°
Space group C2/m (No. 12)
Symmetry-distinct sites (fractional):
Cs 0.000 0.000 0.000 (multiplicity 2)
Cs 0.000 0.500 0.000 (multiplicity 2)
Cs 0.250 0.250 0.000 (multiplicity 4)
Pa 0.000 0.000 0.500 (multiplicity 2)
Pa 0.250 0.250 0.500 (multiplicity 4)
Cu 0.000 0.500 0.500 (multiplicity 2)
Se 0.023 0.252 0.318 (multiplicity 8)
Se 0.230 0.000 0.690 (multiplicity 4)
Se 0.230 0.500 0.685 (multiplicity 4)

Largest 10 diffraction maxima, in order of rising 2θ, 2θ from 10° to 90°:
index	2θ (°)	I/Imax
0 0 1	10.50	32
0 0 2	21.08	22
2 2 0	25.37	16
4 0 0	28.10	51
2 2 -2	28.20	100
2 2 -3	34.89	15
2 2 2	37.59	52
6 2 -2	42.70	36
0 4 0	42.92	26
4 4 0	52.10	19



# 9
Diffraction record for Cs3CuPb4. The powder diffractogram is theoretical, not measured: it uses DFT lattice parameters and positions (GGA-PBE) and CuKα.
Lines closer than 0.1° are merged.

Cell and atoms:
Cell: 7.576 14.452 6.778 Å, 90.00 90.00 90.00°
Space group Pmmn (No. 59, origin choice 2)
Symmetry-distinct sites (fractional):
Cs 0.250 0.004 0.169 (multiplicity 4)
Cs 0.250 0.250 0.536 (multiplicity 2)
Cu 0.250 0.750 0.320 (multiplicity 2)
Pb 0.036 0.750 0.978 (multiplicity 4)
Pb 0.250 0.639 0.662 (multiplicity 4)

Largest 10 diffraction maxima, in order of rising 2θ, 2θ from 10° to 90°:
index	2θ (°)	I/Imax
0 2 0	12.25	71
1 1 0	13.19	77
2 0 1	26.96	51
0 4 1	27.99	41
1 0 2	28.86	37
0 2 2	29.10	37
2 2 1	29.71	100
1 4 1	30.42	66
3 5 0	47.84	34
2 4 3	53.61	43



# 10
Diffraction record for CsCuPbSe2. The powder diffractogram is theoretical, not measured: it uses DFT lattice parameters and positions (GGA-PBE) and CuKα.
Lines closer than 0.1° are merged.

Cell and atoms:
Cell: 8.484 5.298 8.393 Å, 90.00 109.16 90.00°
Space group P2/c (No. 13)
Symmetry-distinct sites (fractional):
Cs 0.000 0.235 0.250 (multiplicity 2)
Cu 0.500 0.000 0.000 (multiplicity 2)
Pb 0.500 0.406 0.750 (multiplicity 2)
Se 0.284 0.259 0.996 (multiplicity 4)

Largest 10 diffraction maxima, in order of rising 2θ, 2θ from 10° to 90°:
index	2θ (°)	I/Imax
1 0 0	11.04	58
2 0 0	22.19	26
1 1 1	24.78	100
2 0 -2	25.91	46
1 1 -2	27.37	30
0 1 2	28.12	22
1 2 0	35.71	25
3 1 -1	36.00	32
1 1 -3	36.32	41
3 1 3	59.38	21



# 11
Diffraction record for CsPrCuS2. The powder diffractogram is theoretical, not measured: it uses DFT lattice parameters and positions (GGA-PBE) and CuKα.
Lines closer than 0.1° are merged.

Cell and atoms:
Cell: 8.124 4.808 8.266 Å, 90.00 100.83 90.00°
Space group P2/c (No. 13)
Symmetry-distinct sites (fractional):
Cs 0.000 0.191 0.250 (multiplicity 2)
Pr 0.500 0.493 0.750 (multiplicity 2)
Cu 0.500 0.000 0.000 (multiplicity 2)
S 0.288 0.296 0.963 (multiplicity 4)

Largest 10 diffraction maxima, in order of rising 2θ, 2θ from 10° to 90°:
index	2θ (°)	I/Imax
1 0 0	11.09	60
1 1 0	21.54	71
2 0 0	22.28	100
1 1 1	25.18	72
2 0 -2	28.26	42
1 1 -2	29.36	78
2 1 -1	29.58	31
1 1 2	32.44	69
1 2 0	39.13	58
3 1 -2	41.42	39



# 12
Diffraction record for CsCuPtSe2. The powder diffractogram is theoretical, not measured: it uses DFT lattice parameters and positions (GGA-PBE) and CuKα.
Lines closer than 0.1° are merged.

Cell and atoms:
Cell: 3.900 4.210 7.636 Å, 90.00 90.00 90.00°
Space group Pmmm (No. 47)
Symmetry-distinct sites (fractional):
Cs 0.000 0.000 0.000 (multiplicity 1)
Cu 0.500 0.000 0.500 (multiplicity 1)
Pt 0.000 0.500 0.500 (multiplicity 1)
Se 0.500 0.500 0.291 (multiplicity 2)

Largest 10 diffraction maxima, in order of rising 2θ, 2θ from 10° to 90°:
index	2θ (°)	I/Imax
0 0 1	11.59	71
0 0 2	23.30	32
0 1 1	24.14	80
1 0 2	32.83	65
1 1 1	33.45	100
1 1 2	39.35	38
0 2 0	42.97	31
2 0 0	46.57	24
1 1 3	47.83	74
1 2 2	55.11	30



# 13
Diffraction record for CsPu4Cu3S12. The powder diffractogram is theoretical, not measured: it uses DFT lattice parameters and positions (GGA-PBE) and CuKα.
Lines closer than 0.1° are merged.

Cell and atoms:
Cell: 9.757 9.757 9.757 Å, 90.00 90.00 90.00°
Space group Im-3 (No. 204)
Symmetry-distinct sites (fractional):
Cs 0.000 0.000 0.000 (multiplicity 2)
Pu 0.250 0.250 0.250 (multiplicity 8)
Cu 0.000 0.000 0.500 (multiplicity 6)
S 0.000 0.329 0.165 (multiplicity 24)

Largest 10 diffraction maxima, in order of rising 2θ, 2θ from 10° to 90°:
index	2θ (°)	I/Imax
2 0 0	18.18	29
2 2 0	25.83	100
4 0 0	36.85	24
4 2 0	41.39	21
4 2 2	45.55	61
4 4 0	53.10	15
6 2 0	59.96	23
6 2 4	72.50	23
6 6 0	84.20	18
8 4 0	89.94	7